No. 1
Starting from DFT lattice parameters and positions (GGA-PBE), the XRD peak list of Pr4AgIr2 was simulated for CuKα.
Intensities are scaled so that the largest is 100.

Atomic structure:
abc: 9.010 12.958 7.885
angles: 90.00 124.80 90.00
Space group Cc (No. 9)
One atom of each set of equivalent atoms:
Pr 0.000 0.001 0.000 x4
Pr 0.029 0.434 0.860 x4
Pr 0.115 0.249 0.229 x4
Pr 0.282 0.184 0.868 x4
Ag 0.233 0.375 0.615 x4
Ir 0.296 0.066 0.494 x4
Ir 0.417 0.316 0.234 x4

Peak list (10 most intense, 2θ from 15° to 90°, sorted by position)
2theta	intensity	hkl
30.9	100	0 4 1
31.3	42	3 1 -1
36.8	32	1 1 2
36.9	21	2 4 0
37.1	23	3 3 -2
44.4	10	2 4 1
46.8	15	3 1 1
50.9	13	1 7 -1
51.4	17	4 4 -1
62.6	15	1 5 -4

=====

No. 2
Starting from DFT lattice parameters and positions (GGA-PBE), the XRD peak list of AcZnHg4 was simulated for CuKα.
Intensities are scaled so that the largest is 100.

Atomic structure:
abc: 5.021 17.676 6.973
angles: 90.00 90.00 90.00
Space group Cmc2_1 (No. 36)
One atom of each set of equivalent atoms:
Ac 0.000 0.141 0.000 x4
Zn 0.000 0.316 0.793 x4
Hg 0.000 0.050 0.482 x4
Hg 0.000 0.224 0.468 x4
Hg 0.000 0.357 0.176 x4
Hg 0.000 0.470 0.697 x4

Peak list (10 most intense, 2θ from 15° to 90°, sorted by position)
2theta	intensity	hkl
31.6	94	1 1 2
33.0	33	0 6 1
33.6	100	1 5 1
35.8	46	2 0 0
49.5	21	2 6 1
50.0	18	0 6 3
62.9	17	3 5 1
63.0	19	2 6 3
66.7	16	1 11 2
75.7	20	4 0 0

=====

No. 3
Starting from DFT lattice parameters and positions (GGA-PBE), the XRD peak list of TbSm4In was simulated for CuKα.
Intensities are scaled so that the largest is 100.

Atomic structure:
abc: 5.677 21.248 6.472
angles: 90.00 90.00 90.00
Space group Cmc2_1 (No. 36)
One atom of each set of equivalent atoms:
Tb 0.000 0.136 0.000 x4
Sm 0.000 0.063 0.513 x4
Sm 0.000 0.251 0.384 x4
Sm 0.000 0.313 0.855 x4
Sm 0.000 0.458 0.695 x4
In 0.000 0.396 0.251 x4

Peak list (10 most intense, 2θ from 15° to 90°, sorted by position)
2theta	intensity	hkl
28.7	36	0 6 1
28.8	29	0 2 2
29.7	100	1 5 1
31.5	71	2 0 0
32.1	74	1 1 2
36.3	56	1 7 1
43.2	43	2 6 1
55.0	18	3 5 1
56.5	15	3 1 2
60.4	20	1 9 3

=====

No. 4
Starting from DFT lattice parameters and positions (GGA-PBE), the XRD peak list of KIn4Hg15 was simulated for CuKα.
Intensities are scaled so that the largest is 100.

Atomic structure:
abc: 5.130 5.133 20.757
angles: 90.00 90.00 90.00
Space group P2/m (No. 10)
One atom of each set of equivalent atoms:
K 0.000 0.000 0.000 x1
In 0.000 0.000 0.402 x2
In 0.001 0.000 0.214 x2
Hg 0.000 0.500 0.500 x1
Hg 0.001 0.500 0.112 x2
Hg 0.001 0.500 0.307 x2
Hg 0.499 0.000 0.693 x2
Hg 0.499 0.500 0.596 x2
Hg 0.499 0.500 0.791 x2
Hg 0.500 0.000 0.112 x2
Hg 0.500 0.000 0.500 x1
Hg 0.500 0.500 0.000 x1

Peak list (10 most intense, 2θ from 15° to 90°, sorted by position)
2theta	intensity	hkl
32.8	100	1 1 -5
35.0	45	2 0 0
43.6	9	0 0 10
50.3	16	2 2 0
57.1	17	2 0 -10
61.3	34	3 1 -5
68.7	10	2 2 -10
73.2	6	1 1 -15
83.2	7	3 3 -5
84.4	8	4 2 0

=====

No. 5
Starting from DFT lattice parameters and positions (GGA-PBE), the XRD peak list of CaSi7Ru3 was simulated for CuKα.
Intensities are scaled so that the largest is 100.

Atomic structure:
abc: 7.6782 7.6782 19.8106
angles: 90.00 90.00 120.00
Space group R-3c (No. 167, hexagonal axes)
One atom of each set of equivalent atoms:
Ca 0.0000 0.0000 0.0000 x6
Si 0.0000 0.0000 0.2500 x6
Si 0.0070 0.1982 0.1379 x36
Ru 0.0000 0.3281 0.2500 x18

Peak list (10 most intense, 2θ from 15° to 90°, sorted by position)
2theta	intensity	hkl
26.9	100	1 1 3
27.0	14	0 0 6
35.9	24	1 1 6
40.2	12	2 1 4
40.7	34	3 0 0
47.6	43	1 1 9
49.5	72	2 2 3
65.9	20	4 1 3
71.2	18	3 0 12
79.0	12	4 1 9

=====

No. 6
Starting from DFT lattice parameters and positions (GGA-PBE), the XRD peak list of NdSmCuAu was simulated for CuKα.
Intensities are scaled so that the largest is 100.

Atomic structure:
abc: 4.639 3.909 11.000
angles: 90.00 90.00 90.00
Space group Amm2 (No. 38)
One atom of each set of equivalent atoms:
Nd 0.000 0.000 0.000 x2
Sm 0.500 0.000 0.721 x2
Cu 0.500 0.000 0.437 x2
Au 0.000 0.000 0.284 x2

Peak list (10 most intense, 2θ from 15° to 90°, sorted by position)
2theta	intensity	hkl
16.1	19	0 0 2
31.0	100	1 1 1
32.6	24	0 0 4
33.5	30	0 1 3
38.0	27	1 0 4
38.9	99	2 0 0
46.5	19	0 2 0
51.6	17	2 0 4
52.2	17	2 1 3
77.3	16	2 1 7

=====

No. 7
Starting from DFT lattice parameters and positions (GGA-PBE), the XRD peak list of Er3TlCo was simulated for CuKα.
Intensities are scaled so that the largest is 100.

Atomic structure:
abc: 9.915 6.446 8.792
angles: 90.00 116.38 90.00
Space group C2/m (No. 12)
One atom of each set of equivalent atoms:
Er 0.026 0.000 0.216 x4
Er 0.185 0.500 0.880 x4
Er 0.194 0.500 0.302 x4
Tl 0.000 0.273 0.500 x4
Co 0.000 0.306 0.000 x4

Peak list (10 most intense, 2θ from 15° to 90°, sorted by position)
2theta	intensity	hkl
30.0	21	0 2 1
30.9	34	2 0 -3
31.8	90	1 1 2
33.3	53	3 1 0
34.4	25	2 2 0
36.0	100	0 2 2
36.6	33	4 0 -2
41.1	18	2 0 -4
52.6	25	3 3 0
63.4	31	4 2 2